The following is a theoretical PXRD pattern of BaPuMn2O8. It was derived from a cell relaxed with GGA+U, using Cu Kα (λ = 1.5418 Å).

Peak list (6 most intense, 2θ = 10–90°, in order of rising 2θ)
- 17.81°, 4.980 Å, rel. 100, (1 0 0)
- 21.43°, 4.147 Å, rel. 46, (1 0 1)
- 29.85°, 2.993 Å, rel. 92, (1 0 2)
- 31.11°, 2.875 Å, rel. 62, (1 1 0)
- 43.66°, 2.073 Å, rel. 42, (2 0 2)
- 54.57°, 1.682 Å, rel. 36, (2 1 2)

```
BaPuMn2O8
1.0
5.7504 0.0000 0.0000
-2.8752 4.9800 0.0000
0.0000 0.0000 7.4887
Ba Pu Mn O
1 1 2 8
direct
0.0000 0.0000 0.0000
0.0000 0.0000 0.5000
0.3333 0.6667 0.2462
0.6667 0.3333 0.7538
0.1609 0.3219 0.3208
0.1609 0.8391 0.3208
0.3219 0.1609 0.6792
0.3333 0.6667 0.0214
0.6667 0.3333 0.9786
0.6781 0.8391 0.3208
0.8391 0.1609 0.6792
0.8391 0.6781 0.6792
```